Structure and computed XRD peak list of SmTmPb (the GGA-PBE geometry in Alexandria; Cu Kα, 1.54184 Å).
Peak positions follow from Bragg's law for the DFT cell and can differ from measured ones.

Main lines, low angle first (2θ = 5–70°):
2θ (°)  intensity
27.20  19
29.21  71
31.65  27
32.71  27
34.58  100
38.85  58
50.94  29
56.11  20
64.50  15
67.61  29

Structure:
```
SmTmPb
1.0
4.6360 0.0000 0.0000
0.0000 4.6360 0.0000
0.0000 0.0000 16.9627
Sm Tm Pb
4 4 4
Direct
0.0000 0.0000 0.1747
0.0000 0.0000 0.8253
0.5000 0.5000 0.3253
0.5000 0.5000 0.6747
0.0000 0.5000 0.0000
0.0000 0.5000 0.5000
0.5000 0.0000 0.0000
0.5000 0.0000 0.5000
0.0000 0.0000 0.3653
0.0000 0.0000 0.6347
0.5000 0.5000 0.1347
0.5000 0.5000 0.8653
```

Structure and computed XRD peak list of KPdSe (the GGA-PBE geometry in Alexandria; Cu Kα, 1.54184 Å).
Peak positions follow from Bragg's law for the DFT cell and can differ from measured ones.

Main lines, low angle first (2θ = 5–70°):
2θ (°)  intensity
17.67  69
23.98  16
29.94  100
35.78  28
42.17  53
46.06  35
52.58  19
56.47  43
60.73  12
69.59  16

Structure:
```
KPdSe
1.0
4.2857 0.0000 0.0000
-2.1429 3.7116 0.0000
0.0000 0.0000 5.0187
K Pd Se
1 1 1
Direct
0.0000 0.0000 0.0000
0.6667 0.3333 0.5000
0.3333 0.6667 0.5000
```

Structure and computed XRD peak list of TmBiAu2O8 (the GGA-PBE geometry in Alexandria; Cu Kα, 1.54184 Å).
Peak positions follow from Bragg's law for the DFT cell and can differ from measured ones.

Main lines, low angle first (2θ = 5–70°):
2θ (°)  intensity
28.80  100
32.59  35
34.90  19
37.63  1
46.75  15
48.49  26
55.84  40
58.89  15
59.65  15
68.27  4

Structure:
```
TmBiAu2O8
1.0
-2.7478 2.7478 5.1419
2.7478 -2.7478 5.1419
2.7478 2.7478 -5.1419
Tm Bi Au O
1 1 2 8
Direct
0.0000 0.0000 0.0000
0.7500 0.2500 0.5000
0.2500 0.7500 0.5000
0.5000 0.5000 0.0000
0.0623 0.0304 0.6855
0.1276 0.3237 0.5359
0.3449 0.3768 0.3145
0.4083 0.8724 0.1961
0.6232 0.9377 0.9681
0.6763 0.2122 0.8039
0.7878 0.5917 0.4641
0.9696 0.6551 0.0319
```

Structure and computed XRD peak list of PrSm3Ir8 (the GGA-PBE geometry in Alexandria; Cu Kα, 1.54184 Å).
Peak positions follow from Bragg's law for the DFT cell and can differ from measured ones.

Main lines, low angle first (2θ = 5–70°):
2θ (°)  intensity
20.05  14
33.04  20
38.95  100
40.76  49
47.42  9
51.97  4
59.00  8
62.98  33
69.31  30

Structure:
```
PrSm3Ir8
1.0
2.7124 1.5660 8.8497
-2.7124 1.5660 8.8497
0.0000 -3.1320 8.8497
Pr Sm Ir
1 3 8
Direct
0.0000 0.0000 0.0000
0.1251 0.1251 0.1251
0.4999 0.4999 0.4999
0.6246 0.6246 0.6246
0.0622 0.0622 0.5613
0.0622 0.5613 0.0622
0.0632 0.5628 0.5628
0.3123 0.3123 0.3123
0.5613 0.0622 0.0622
0.5628 0.0632 0.5628
0.5628 0.5628 0.0632
0.8124 0.8124 0.8124
```

Structure and computed XRD peak list of Pr2GaSn (the GGA-PBE geometry in Alexandria; Cu Kα, 1.54184 Å).
Peak positions follow from Bragg's law for the DFT cell and can differ from measured ones.

Main lines, low angle first (2θ = 5–70°):
2θ (°)  intensity
29.34  100
29.95  35
30.63  27
36.69  63
37.26  22
38.76  28
42.10  22
52.53  15
58.55  17
58.83  16

Structure:
```
Pr2GaSn
1.0
6.2848 0.0000 0.0000
0.0000 4.2925 0.0000
-2.8391 0.0000 8.6304
Pr Ga Sn
4 2 2
Direct
0.2016 0.2500 0.4247
0.2811 0.7500 0.0643
0.7189 0.2500 0.9357
0.7984 0.7500 0.5753
0.1313 0.2500 0.7903
0.8687 0.7500 0.2097
0.3670 0.7500 0.7121
0.6330 0.2500 0.2879
```

Structure and computed XRD peak list of Ce2ZrOs (the GGA-PBE geometry in Alexandria; Cu Kα, 1.54184 Å).
Peak positions follow from Bragg's law for the DFT cell and can differ from measured ones.

Main lines, low angle first (2θ = 5–70°):
2θ (°)  intensity
8.09  100
32.78  38
34.31  70
36.60  55
39.08  19
40.57  27
41.31  11
43.96  72
60.58  29
67.17  18

Structure:
```
Ce2ZrOs
1.0
3.0571 0.0000 0.0000
-1.5285 2.6475 0.0000
0.0000 0.0000 32.7833
Ce Zr Os
6 3 3
Direct
0.0000 0.0000 0.0951
0.0000 0.0000 0.9049
0.3333 0.6667 0.5715
0.3333 0.6667 0.7618
0.6667 0.3333 0.2382
0.6667 0.3333 0.4285
0.0000 0.0000 0.0000
0.3333 0.6667 0.6667
0.6667 0.3333 0.3333
0.0000 0.0000 0.5000
0.3333 0.6667 0.1667
0.6667 0.3333 0.8333
```

Structure and computed XRD peak list of AlPb (the GGA-PBE geometry in Alexandria; Cu Kα, 1.54184 Å).
Peak positions follow from Bragg's law for the DFT cell and can differ from measured ones.

Main lines, low angle first (2θ = 5–70°):
2θ (°)  intensity
18.33  48
27.45  42
29.61  54
32.83  23
33.19  32
35.25  100
43.59  25
47.38  17
60.63  21
61.01  18

Structure:
```
AlPb
1.0
3.4031 0.0000 0.0000
0.0000 5.3990 0.0000
0.0000 0.0000 10.9122
Al Pb
4 4
Direct
0.0000 0.2500 0.1498
0.0000 0.7500 0.8502
0.5000 0.2500 0.3502
0.5000 0.7500 0.6498
0.0000 0.2500 0.6016
0.0000 0.7500 0.3984
0.5000 0.2500 0.8984
0.5000 0.7500 0.1016
```

Structure and computed XRD peak list of Cs3SrI6 (the GGA-PBE geometry in Alexandria; Cu Kα, 1.54184 Å).
Peak positions follow from Bragg's law for the DFT cell and can differ from measured ones.

Main lines, low angle first (2θ = 5–70°):
2θ (°)  intensity
13.61  32
19.21  83
24.61  39
25.27  100
26.42  33
27.17  29
27.82  52
34.11  23
34.26  27
34.90  39

Structure:
```
Cs3SrI6
1.0
7.7133 -12.0993 0.0000
7.7133 12.0993 0.0000
0.0000 0.0000 6.5646
Cs Sr I
6 2 12
Direct
0.1178 0.8822 0.7500
0.2470 0.4289 0.7500
0.4289 0.2470 0.2500
0.5711 0.7530 0.7500
0.7530 0.5711 0.2500
0.8822 0.1178 0.2500
0.2737 0.7263 0.2500
0.7263 0.2737 0.7500
0.0375 0.6670 0.2500
0.1617 0.1617 0.0000
0.1617 0.1617 0.5000
0.2863 0.7137 0.7500
0.3330 0.9625 0.2500
0.4122 0.5878 0.2500
0.5878 0.4122 0.7500
0.6670 0.0375 0.7500
0.7137 0.2863 0.2500
0.8383 0.8383 0.0000
0.8383 0.8383 0.5000
0.9625 0.3330 0.7500
```

Structure and computed XRD peak list of PmPu4Se6 (the GGA-PBE geometry in Alexandria; Cu Kα, 1.54184 Å).
Peak positions follow from Bragg's law for the DFT cell and can differ from measured ones.

Main lines, low angle first (2θ = 5–70°):
2θ (°)  intensity
8.40  42
24.82  93
26.03  47
29.63  53
30.55  100
32.03  76
32.51  40
41.32  52
43.31  45
44.28  42

Structure:
```
PmPu4Se6
1.0
2.0456 -6.8467 0.0000
2.0456 6.8467 0.0000
0.0000 0.0000 21.0568
Pm Pu Se
2 8 12
Direct
0.1535 0.8465 0.7500
0.8465 0.1535 0.2500
0.0915 0.9085 0.1298
0.0915 0.9085 0.3702
0.3617 0.6383 0.0398
0.3617 0.6383 0.4602
0.6383 0.3617 0.5398
0.6383 0.3617 0.9602
0.9085 0.0915 0.6298
0.9085 0.0915 0.8702
0.0000 0.0000 0.0000
0.0000 0.0000 0.5000
0.1919 0.8081 0.2500
0.2706 0.7294 0.5878
0.2706 0.7294 0.9122
0.4508 0.5492 0.1674
0.4508 0.5492 0.3326
0.5492 0.4508 0.6674
0.5492 0.4508 0.8326
0.7294 0.2706 0.0878
0.7294 0.2706 0.4122
0.8081 0.1919 0.7500
```

Structure and computed XRD peak list of Dy2USb3 (the GGA-PBE geometry in Alexandria; Cu Kα, 1.54184 Å).
Peak positions follow from Bragg's law for the DFT cell and can differ from measured ones.

Main lines, low angle first (2θ = 5–70°):
2θ (°)  intensity
24.89  11
28.78  100
28.91  49
41.19  76
41.27  38
51.07  41
59.54  6
67.52  27
67.65  9
67.79  18

Structure:
```
Dy2USb3
1.0
0.0000 3.1052 9.2656
3.0990 0.0000 9.2656
3.0990 3.1052 0.0000
Dy U Sb
2 1 3
Direct
0.1672 0.1672 0.8328
0.8328 0.8328 0.1672
0.5000 0.5000 0.5000
0.0000 0.0000 0.0000
0.3337 0.3337 0.6663
0.6663 0.6663 0.3337
```

Structure and computed XRD peak list of Na3In2Bi3 (the GGA-PBE geometry in Alexandria; Cu Kα, 1.54184 Å).
Peak positions follow from Bragg's law for the DFT cell and can differ from measured ones.

Main lines, low angle first (2θ = 5–70°):
2θ (°)  intensity
21.47  100
21.63  87
22.22  90
24.07  83
30.66  97
35.19  93
38.29  54
38.81  51
39.45  62
41.68  64

Structure:
```
Na3In2Bi3
1.0
8.2165 0.0000 0.0000
0.0000 4.6400 0.0000
-0.0043 0.0000 27.4772
Na In Bi
12 8 12
Direct
0.0000 0.0000 0.0000
0.0041 0.0000 0.3170
0.0289 0.5000 0.1176
0.0448 0.5000 0.4314
0.0539 0.5000 0.7737
0.4696 0.0000 0.6103
0.4774 0.0000 0.9534
0.4957 0.0000 0.2683
0.5236 0.5000 0.4712
0.5333 0.5000 0.1555
0.5457 0.5000 0.8190
0.9963 0.0000 0.6571
0.1676 0.5000 0.5740
0.1756 0.5000 0.2398
0.1762 0.5000 0.9160
0.6443 0.5000 0.6894
0.6457 0.5000 0.0321
0.6643 0.5000 0.3460
0.8780 0.0000 0.5152
0.8794 0.0000 0.8581
0.2494 0.0000 0.1744
0.2507 0.0000 0.5074
0.2568 0.0000 0.8485
0.2789 0.5000 0.6770
0.2814 0.5000 0.0195
0.3007 0.5000 0.3426
0.7417 0.0000 0.4128
0.7486 0.0000 0.0917
0.7550 0.0000 0.7519
0.7757 0.5000 0.5787
0.7860 0.5000 0.9236
0.8035 0.5000 0.2471
```

Structure and computed XRD peak list of LaIn6Ag6 (the GGA-PBE geometry in Alexandria; Cu Kα, 1.54184 Å).
Peak positions follow from Bragg's law for the DFT cell and can differ from measured ones.

Main lines, low angle first (2θ = 5–70°):
2θ (°)  intensity
31.08  36
35.63  47
35.74  42
36.22  100
36.35  41
36.70  40
40.25  80
40.81  30
58.08  28
64.80  24

Structure:
```
LaIn6Ag6
1.0
-2.9265 4.8975 4.9564
2.9265 -4.8975 4.9564
2.9265 4.8975 -4.9564
La In Ag
1 6 6
Direct
0.0000 0.0000 0.0000
0.1917 0.6917 0.5000
0.3457 0.0000 0.3457
0.3465 0.3465 0.0000
0.6543 0.0000 0.6543
0.6535 0.6535 0.0000
0.8083 0.3083 0.5000
0.0000 0.0000 0.5000
0.0000 0.5000 0.0000
0.2300 0.5000 0.7300
0.5000 0.0000 0.0000
0.5000 0.5000 0.5000
0.7700 0.5000 0.2700
```